The following is a simulated powder XRD pattern of Tm4FeSe. It was derived from the PBE geometry in Alexandria, using copper Kα.

Top 10 peaks for 2θ = 10–90°, in order of falling intensity:
2theta, I_rel
32.10, 100
35.85, 61
32.76, 50
33.18, 37
33.37, 37
35.47, 35
35.34, 33
46.75, 32
59.98, 30
40.09, 19

Crystal structure
```
data_Tm4FeSe
_chemical_formula_sum 'Tm16 Fe4 Se4'
_symmetry_space_group_name_H-M 'P 1'
_symmetry_Int_Tables_number 1
_symmetry_space_group_name_Hall 'P 1'
_cell_length_a 7.690
_cell_length_b 3.886
_cell_length_c 18.760
_cell_angle_alpha 90.00
_cell_angle_beta 90.00
_cell_angle_gamma 90.00
loop_
_atom_site_label
_atom_site_type_symbol
_atom_site_fract_x
_atom_site_fract_y
_atom_site_fract_z
Tm1 Tm 0.001 0.250 0.069
Tm2 Tm 0.054 0.750 0.218
Tm3 Tm 0.128 0.750 0.644
Tm4 Tm 0.142 0.750 0.457
Tm5 Tm 0.358 0.250 0.957
Tm6 Tm 0.372 0.250 0.144
Tm7 Tm 0.446 0.250 0.718
Tm8 Tm 0.499 0.750 0.569
Tm9 Tm 0.501 0.250 0.431
Tm10 Tm 0.554 0.750 0.282
Tm11 Tm 0.628 0.750 0.856
Tm12 Tm 0.642 0.750 0.043
Tm13 Tm 0.858 0.250 0.543
Tm14 Tm 0.872 0.250 0.356
Tm15 Tm 0.946 0.250 0.782
Tm16 Tm 0.999 0.750 0.931
Fe1 Fe 0.246 0.250 0.554
Fe2 Fe 0.254 0.750 0.054
Fe3 Fe 0.746 0.250 0.946
Fe4 Fe 0.754 0.750 0.446
Se1 Se 0.243 0.750 0.804
Se2 Se 0.257 0.250 0.304
Se3 Se 0.743 0.750 0.696
Se4 Se 0.757 0.250 0.196
```